# 1
LiPrS2: theoretical X-ray powder pattern (λ = 1.5418 Å (Cu Kα)), based on DFT lattice parameters and positions (GGA-PBE).
No peak broadening, texture or thermal motion is included.

Peak list (10 most intense, 15° ≤ 2θ ≤ 90°, by angle)
- d = 5.548 Å, 15.97 deg, intensity 100, (0 0 1)
- d = 4.081 Å, 21.78 deg, intensity 98, (1 0 0)
- d = 3.288 Å, 27.12 deg, intensity 37, (1 0 1)
- d = 2.886 Å, 30.99 deg, intensity 100, (1 1 0)
- d = 2.774 Å, 32.27 deg, intensity 45, (0 0 2)
- d = 2.560 Å, 35.05 deg, intensity 58, (1 1 1)
- d = 2.294 Å, 39.27 deg, intensity 43, (1 0 2)
- d = 2.041 Å, 44.39 deg, intensity 36, (2 0 0)
- d = 2.000 Å, 45.35 deg, intensity 67, (1 1 2)
- d = 1.644 Å, 55.94 deg, intensity 35, (2 0 2)

```
data_LiPrS2
_space_group_name_H-M_alt 'P 4/m m m'
_space_group_IT_number 123
_space_group_name_Hall '-P 4 2'
_cell_length_a 4.0812
_cell_length_b 4.0812
_cell_length_c 5.5484
_cell_angle_alpha 90.00
_cell_angle_beta 90.00
_cell_angle_gamma 90.00
loop_
_atom_site_label
_atom_site_type_symbol
_atom_site_fract_x
_atom_site_fract_y
_atom_site_fract_z
Li1 Li 0.0000 0.0000 0.0000
Pr1 Pr 0.5000 0.5000 0.5000
S1 S 0.0000 0.0000 0.5000
S2 S 0.5000 0.5000 0.0000
```

# 2
Li3Pr2Sb3: theoretical X-ray powder pattern (λ = 1.5418 Å (Cu Kα)), based on DFT lattice parameters and positions (GGA-PBE).
No peak broadening, texture or thermal motion is included.

Peak list (10 most intense, 15° ≤ 2θ ≤ 90°, by angle)
- d = 4.693 Å, 18.91 deg, intensity 20, (0 0 5)
- d = 3.227 Å, 27.65 deg, intensity 100, (1 0 0)
- d = 2.983 Å, 29.96 deg, intensity 28, (1 0 3)
- d = 2.933 Å, 30.48 deg, intensity 31, (0 0 8)
- d = 2.659 Å, 33.71 deg, intensity 19, (1 0 5)
- d = 2.282 Å, 39.50 deg, intensity 38, (1 1 0)
- d = 2.170 Å, 41.61 deg, intensity 52, (1 0 8)
- d = 1.801 Å, 50.69 deg, intensity 29, (1 1 8)
- d = 1.443 Å, 64.58 deg, intensity 18, (2 1 0)
- d = 1.295 Å, 73.08 deg, intensity 19, (2 1 8)

```
data_Li3Pr2Sb3
_space_group_name_H-M_alt 'P 4/m m m'
_space_group_IT_number 123
_space_group_name_Hall '-P 4 2'
_cell_length_a 3.2267
_cell_length_b 3.2267
_cell_length_c 23.4659
_cell_angle_alpha 90.00
_cell_angle_beta 90.00
_cell_angle_gamma 90.00
loop_
_atom_site_label
_atom_site_type_symbol
_atom_site_fract_x
_atom_site_fract_y
_atom_site_fract_z
Li1 Li 0.0000 0.0000 0.0000
Li2 Li 0.0000 0.0000 0.3832
Pr1 Pr 0.0000 0.0000 0.2423
Sb1 Sb 0.0000 0.0000 0.1119
Sb2 Sb 0.0000 0.0000 0.5000
```

# 3
Li2Pr5Sn7: theoretical X-ray powder pattern (λ = 1.5418 Å (Cu Kα)), based on DFT lattice parameters and positions (GGA-PBE).
No peak broadening, texture or thermal motion is included.

Peak list (10 most intense, 15° ≤ 2θ ≤ 90°, by angle)
- d = 3.154 Å, 28.29 deg, intensity 27, (2 0 0)
- d = 3.004 Å, 29.74 deg, intensity 40, (0 4 3)
- d = 2.871 Å, 31.15 deg, intensity 56, (0 1 6)
- d = 2.852 Å, 31.37 deg, intensity 93, (1 3 4)
- d = 2.732 Å, 32.79 deg, intensity 100, (0 4 4)
- d = 2.722 Å, 32.90 deg, intensity 35, (2 1 3)
- d = 2.661 Å, 33.68 deg, intensity 53, (0 5 2)
- d = 2.609 Å, 34.37 deg, intensity 55, (2 3 0)
- d = 2.307 Å, 39.04 deg, intensity 27, (1 4 5)
- d = 1.501 Å, 61.82 deg, intensity 30, (2 2 10)

```
data_Li2Pr5Sn7
_space_group_name_H-M_alt 'P 21 21 21'
_space_group_IT_number 19
_cell_length_a 6.2997
_cell_length_b 13.9637
_cell_length_c 17.6043
_cell_angle_alpha 90.00
_cell_angle_beta 90.00
_cell_angle_gamma 90.00
loop_
_space_group_symop_operation_xyz
'x,y,z'
'-x+1/2,-y,z+1/2'
'x+1/2,-y+1/2,-z'
'-x,y+1/2,-z+1/2'
loop_
_atom_site_label
_atom_site_type_symbol
_atom_site_fract_x
_atom_site_fract_y
_atom_site_fract_z
Li1 Li 0.0834 0.2316 0.4801
Li2 Li 0.1222 0.2317 0.7704
Pr1 Pr 0.1361 0.5023 0.0171
Pr2 Pr 0.1371 0.1768 0.2839
Pr3 Pr 0.1392 0.1810 0.9579
Pr4 Pr 0.1417 0.5035 0.7370
Pr5 Pr 0.1479 0.9251 0.1226
Sn1 Sn 0.0972 0.8783 0.6212
Sn2 Sn 0.1134 0.6271 0.3790
Sn3 Sn 0.1331 0.6528 0.8789
Sn4 Sn 0.1367 0.9381 0.9336
Sn5 Sn 0.1501 0.9438 0.3120
Sn6 Sn 0.1704 0.3116 0.1228
Sn7 Sn 0.1958 0.3103 0.6274
```

# 4
LiPrZn2: theoretical X-ray powder pattern (λ = 1.5418 Å (Cu Kα)), based on DFT lattice parameters and positions (GGA-PBE).
No peak broadening, texture or thermal motion is included.

Peak list (10 most intense, 15° ≤ 2θ ≤ 90°, by angle)
- d = 4.018 Å, 22.12 deg, intensity 53, (1 1 1)
- d = 2.461 Å, 36.52 deg, intensity 100, (2 2 0)
- d = 2.098 Å, 43.11 deg, intensity 28, (3 1 1)
- d = 1.740 Å, 52.60 deg, intensity 17, (4 0 0)
- d = 1.597 Å, 57.74 deg, intensity 12, (3 3 1)
- d = 1.421 Å, 65.73 deg, intensity 34, (4 2 2)
- d = 1.339 Å, 70.28 deg, intensity 9, (5 1 1)
- d = 1.230 Å, 77.60 deg, intensity 10, (4 4 0)
- d = 1.176 Å, 81.89 deg, intensity 9, (5 3 1)
- d = 1.100 Å, 88.95 deg, intensity 15, (6 2 0)

```
data_LiPrZn2
_space_group_name_H-M_alt 'F m -3 m'
_space_group_IT_number 225
_space_group_name_Hall '-F 4 2 3'
_cell_length_a 6.9595
_cell_length_b 6.9595
_cell_length_c 6.9595
_cell_angle_alpha 90.00
_cell_angle_beta 90.00
_cell_angle_gamma 90.00
loop_
_atom_site_label
_atom_site_type_symbol
_atom_site_fract_x
_atom_site_fract_y
_atom_site_fract_z
Li1 Li 0.0000 0.0000 0.0000
Pr1 Pr 0.0000 0.0000 0.5000
Zn1 Zn 0.2500 0.2500 0.2500
```

# 5
Li3Pt: theoretical X-ray powder pattern (λ = 1.5418 Å (Cu Kα)), based on DFT lattice parameters and positions (GGA-PBE).
No peak broadening, texture or thermal motion is included.

Peak list (10 most intense, 15° ≤ 2θ ≤ 90°, by angle)
- d = 3.512 Å, 25.36 deg, intensity 100, (1 1 1)
- d = 3.041 Å, 29.37 deg, intensity 52, (2 0 0)
- d = 2.151 Å, 42.01 deg, intensity 49, (2 2 0)
- d = 1.834 Å, 49.71 deg, intensity 50, (3 1 1)
- d = 1.756 Å, 52.09 deg, intensity 14, (2 2 2)
- d = 1.521 Å, 60.92 deg, intensity 8, (4 0 0)
- d = 1.395 Å, 67.07 deg, intensity 20, (3 3 1)
- d = 1.360 Å, 69.06 deg, intensity 19, (4 2 0)
- d = 1.242 Å, 76.77 deg, intensity 17, (4 2 2)
- d = 1.171 Å, 82.38 deg, intensity 16, (5 1 1)

```
data_Li3Pt
_space_group_name_H-M_alt 'F m -3 m'
_space_group_IT_number 225
_space_group_name_Hall '-F 4 2 3'
_cell_length_a 6.0825
_cell_length_b 6.0825
_cell_length_c 6.0825
_cell_angle_alpha 90.00
_cell_angle_beta 90.00
_cell_angle_gamma 90.00
loop_
_atom_site_label
_atom_site_type_symbol
_atom_site_fract_x
_atom_site_fract_y
_atom_site_fract_z
Li1 Li 0.0000 0.0000 0.0000
Li2 Li 0.2500 0.2500 0.2500
Pt1 Pt 0.0000 0.0000 0.5000
```

# 6
LiPt: theoretical X-ray powder pattern (λ = 1.5418 Å (Cu Kα)), based on DFT lattice parameters and positions (GGA-PBE).
No peak broadening, texture or thermal motion is included.

Peak list (10 most intense, 15° ≤ 2θ ≤ 90°, by angle)
- d = 4.242 Å, 20.94 deg, intensity 99, (0 0 1)
- d = 2.396 Å, 37.53 deg, intensity 71, (1 0 0)
- d = 2.121 Å, 42.63 deg, intensity 18, (0 0 2)
- d = 2.086 Å, 43.37 deg, intensity 100, (1 0 1)
- d = 1.588 Å, 58.08 deg, intensity 41, (1 0 2)
- d = 1.384 Å, 67.73 deg, intensity 14, (1 1 0)
- d = 1.315 Å, 71.76 deg, intensity 21, (1 1 1)
- d = 1.218 Å, 78.55 deg, intensity 18, (1 0 3)
- d = 1.159 Å, 83.41 deg, intensity 16, (1 1 2)
- d = 1.153 Å, 83.92 deg, intensity 15, (2 0 1)

```
data_LiPt
_space_group_name_H-M_alt 'P -6 m 2'
_space_group_IT_number 187
_space_group_name_Hall 'P -6 2'
_cell_length_a 2.7671
_cell_length_b 2.7671
_cell_length_c 4.2419
_cell_angle_alpha 90.00
_cell_angle_beta 90.00
_cell_angle_gamma 120.00
loop_
_atom_site_label
_atom_site_type_symbol
_atom_site_fract_x
_atom_site_fract_y
_atom_site_fract_z
Li1 Li 0.0000 0.0000 0.0000
Pt1 Pt 0.6667 0.3333 0.5000
```

# 7
LiPt2: theoretical X-ray powder pattern (λ = 1.5418 Å (Cu Kα)), based on DFT lattice parameters and positions (GGA-PBE).
No peak broadening, texture or thermal motion is included.

Peak list (10 most intense, 15° ≤ 2θ ≤ 90°, by angle)
- d = 4.302 Å, 20.64 deg, intensity 100, (1 1 1)
- d = 2.247 Å, 40.13 deg, intensity 60, (3 1 1)
- d = 2.151 Å, 42.00 deg, intensity 68, (2 2 2)
- d = 1.863 Å, 48.89 deg, intensity 32, (4 0 0)
- d = 1.710 Å, 53.61 deg, intensity 24, (3 3 1)
- d = 1.434 Å, 65.03 deg, intensity 20, (5 1 1)
- d = 1.317 Å, 71.64 deg, intensity 22, (4 4 0)
- d = 1.260 Å, 75.47 deg, intensity 18, (5 3 1)
- d = 1.136 Å, 85.43 deg, intensity 7, (5 3 3)
- d = 1.123 Å, 86.66 deg, intensity 27, (6 2 2)

a b c (Å): 7.4520 7.4520 7.4520
angles (deg): 90.00 90.00 90.00
Space group Fd-3m (No. 227, origin choice 2)
Inequivalent atoms, fractional coordinates:
Li: 0.1250 0.1250 0.1250 (multiplicity 8)
Pt: 0.0000 0.0000 0.5000 (multiplicity 16)

# 8
Li3Pt: theoretical X-ray powder pattern (λ = 1.5418 Å (Cu Kα)), based on DFT lattice parameters and positions (GGA-PBE).
No peak broadening, texture or thermal motion is included.

Peak list (10 most intense, 15° ≤ 2θ ≤ 90°, by angle)
- d = 3.640 Å, 24.45 deg, intensity 28, (0 0 2)
- d = 3.457 Å, 25.77 deg, intensity 100, (1 0 1)
- d = 2.778 Å, 32.22 deg, intensity 28, (1 1 0)
- d = 2.208 Å, 40.86 deg, intensity 37, (1 1 2)
- d = 2.065 Å, 43.85 deg, intensity 25, (1 0 3)
- d = 1.964 Å, 46.22 deg, intensity 13, (2 0 0)
- d = 1.729 Å, 52.97 deg, intensity 14, (2 0 2)
- d = 1.708 Å, 53.67 deg, intensity 28, (2 1 1)
- d = 1.423 Å, 65.60 deg, intensity 15, (2 1 3)
- d = 1.176 Å, 81.94 deg, intensity 10, (3 1 2)

```
data_Li3Pt
_space_group_name_H-M_alt 'I 4/m m m'
_space_group_IT_number 139
_space_group_name_Hall '-I 4 2'
_cell_length_a 3.9286
_cell_length_b 3.9286
_cell_length_c 7.2806
_cell_angle_alpha 90.00
_cell_angle_beta 90.00
_cell_angle_gamma 90.00
loop_
_atom_site_label
_atom_site_type_symbol
_atom_site_fract_x
_atom_site_fract_y
_atom_site_fract_z
Li1 Li 0.0000 0.0000 0.0000
Li2 Li 0.0000 0.5000 0.2500
Pt1 Pt 0.0000 0.0000 0.5000
```